Record 1
# Na4Cu2C4SO16
Computed powder diffractogram, Cu Kα, 1.54184 Å. Input: DFT lattice parameters and positions (GGA-PBE).

Largest 10 diffraction maxima, in order of rising 2θ, 2θ from 10° to 90°:
- d = 7.991 Å, I = 100
- d = 4.934 Å, I = 64
- d = 4.275 Å, I = 96
- d = 4.137 Å, I = 57
- d = 4.113 Å, I = 50
- d = 3.996 Å, I = 32
- d = 2.744 Å, I = 43
- d = 2.636 Å, I = 53
- d = 2.617 Å, I = 46
- d = 2.472 Å, I = 37

Structure:
```
Na4Cu2C4SO16
1.0
0.0000 6.8382 7.1565
6.7842 0.0000 7.1565
6.7842 6.8382 0.0000
Na Cu C S O
8 4 8 2 32
Direct
0.0853 0.6647 0.0853
0.0869 0.6631 0.6631
0.3353 0.9147 0.3353
0.3369 0.9131 0.9131
0.6631 0.0869 0.0869
0.6647 0.0853 0.6647
0.9131 0.3369 0.3369
0.9147 0.3353 0.9147
0.0000 0.5000 0.5000
0.5000 0.0000 0.5000
0.5000 0.5000 0.0000
0.5000 0.5000 0.5000
0.2774 0.6450 0.2861
0.2861 0.2915 0.2774
0.2915 0.2861 0.6450
0.3550 0.7226 0.7085
0.6450 0.2774 0.2915
0.7085 0.7139 0.3550
0.7139 0.7085 0.7226
0.7226 0.3550 0.7139
0.1250 0.1250 0.1250
0.8750 0.8750 0.8750
0.0559 0.3115 0.0670
0.0656 0.0670 0.3115
0.0670 0.0656 0.0559
0.1412 0.6387 0.3087
0.1420 0.3144 0.3931
0.1443 0.4046 0.6544
0.2967 0.6544 0.4046
0.3087 0.4113 0.1412
0.3115 0.0559 0.0656
0.3144 0.1420 0.6506
0.3456 0.7033 0.8557
0.3494 0.6069 0.6856
0.3613 0.8588 0.5887
0.3931 0.6506 0.1420
0.4046 0.1443 0.2967
0.4113 0.3087 0.6387
0.5887 0.6913 0.3613
0.5954 0.8557 0.7033
0.6069 0.3494 0.8580
0.6387 0.1412 0.4113
0.6506 0.3931 0.3144
0.6544 0.2967 0.1443
0.6856 0.8580 0.3494
0.6885 0.9441 0.9344
0.6913 0.5887 0.8588
0.7033 0.3456 0.5954
0.8557 0.5954 0.3456
0.8580 0.6856 0.6069
0.8588 0.3613 0.6913
0.9330 0.9344 0.9441
0.9344 0.9330 0.6885
0.9441 0.6885 0.9330
```

Record 2
# NaCuCSO7
Computed powder diffractogram, Cu Kα, 1.54184 Å. Input: DFT lattice parameters and positions (GGA-PBE).

Largest 10 diffraction maxima, in order of rising 2θ, 2θ from 10° to 90°:
- d = 8.831 Å, I = 100
- d = 5.579 Å, I = 44
- d = 4.437 Å, I = 18
- d = 4.305 Å, I = 22
- d = 4.122 Å, I = 21
- d = 3.598 Å, I = 55
- d = 3.377 Å, I = 27
- d = 2.793 Å, I = 20
- d = 2.514 Å, I = 15
- d = 2.315 Å, I = 17

Structure:
```
NaCuCSO7
1.0
5.0318 0.0000 0.0000
0.0000 7.1969 0.0000
-0.3098 0.0000 8.8306
Na Cu C S O
2 2 2 2 14
Direct
0.2366 0.0000 0.2598
0.7634 0.5000 0.7402
0.2221 0.2116 0.8486
0.7779 0.7116 0.1514
0.2763 0.2287 0.5837
0.7237 0.7287 0.4163
0.2733 0.7238 0.9233
0.7267 0.2238 0.0767
0.0492 0.2249 0.6534
0.1391 0.7338 0.0742
0.1968 0.5544 0.8396
0.2245 0.8908 0.8338
0.3011 0.2265 0.4451
0.4281 0.2075 0.0358
0.4737 0.2332 0.6870
0.5263 0.7332 0.3130
0.5719 0.7075 0.9642
0.6989 0.7265 0.5549
0.7755 0.3908 0.1662
0.8032 0.0544 0.1604
0.8609 0.2338 0.9258
0.9508 0.7249 0.3466
```

Record 3
# Na6Cu2C4SO16
Computed powder diffractogram, Cu Kα, 1.54184 Å. Input: DFT lattice parameters and positions (GGA-PBE).

Largest 10 diffraction maxima, in order of rising 2θ, 2θ from 10° to 90°:
- d = 8.060 Å, I = 26
- d = 4.209 Å, I = 100
- d = 2.687 Å, I = 91
- d = 2.468 Å, I = 77
- d = 2.360 Å, I = 25
- d = 2.105 Å, I = 22
- d = 1.955 Å, I = 21
- d = 1.612 Å, I = 33
- d = 1.601 Å, I = 21
- d = 1.425 Å, I = 16

Structure:
```
Na6Cu2C4SO16
1.0
0.0000 6.9802 6.9802
6.9802 0.0000 6.9802
6.9802 6.9802 0.0000
Na Cu C S O
12 4 8 2 32
Direct
0.0894 0.0894 0.6606
0.0894 0.6606 0.0894
0.0894 0.6606 0.6606
0.3394 0.3394 0.9106
0.3394 0.9106 0.3394
0.3394 0.9106 0.9106
0.6606 0.0894 0.0894
0.6606 0.0894 0.6606
0.6606 0.6606 0.0894
0.9106 0.3394 0.3394
0.9106 0.3394 0.9106
0.9106 0.9106 0.3394
0.0000 0.5000 0.5000
0.5000 0.0000 0.5000
0.5000 0.5000 0.0000
0.5000 0.5000 0.5000
0.2797 0.2797 0.2797
0.2797 0.2797 0.6608
0.2797 0.6608 0.2797
0.3392 0.7203 0.7203
0.6608 0.2797 0.2797
0.7203 0.3392 0.7203
0.7203 0.7203 0.3392
0.7203 0.7203 0.7203
0.1250 0.1250 0.1250
0.8750 0.8750 0.8750
0.0632 0.0632 0.0632
0.0632 0.0632 0.3104
0.0632 0.3104 0.0632
0.1389 0.2983 0.3999
0.1389 0.3999 0.6629
0.1389 0.6629 0.2983
0.2983 0.1389 0.6629
0.2983 0.3999 0.1389
0.2983 0.6629 0.3999
0.3104 0.0632 0.0632
0.3371 0.6001 0.7017
0.3371 0.7017 0.8611
0.3371 0.8611 0.6001
0.3999 0.1389 0.2983
0.3999 0.2983 0.6629
0.3999 0.6629 0.1389
0.6001 0.3371 0.8611
0.6001 0.7017 0.3371
0.6001 0.8611 0.7017
0.6629 0.1389 0.3999
0.6629 0.2983 0.1389
0.6629 0.3999 0.2983
0.6896 0.9368 0.9368
0.7017 0.3371 0.6001
0.7017 0.6001 0.8611
0.7017 0.8611 0.3371
0.8611 0.3371 0.7017
0.8611 0.6001 0.3371
0.8611 0.7017 0.6001
0.9368 0.6896 0.9368
0.9368 0.9368 0.6896
0.9368 0.9368 0.9368
```

Record 4
# Nb4CuC2S4
Computed powder diffractogram, Cu Kα, 1.54184 Å. Input: DFT lattice parameters and positions (GGA-PBE).

Largest 10 diffraction maxima, in order of rising 2θ, 2θ from 10° to 90°:
- d = 2.888 Å, I = 43
- d = 2.755 Å, I = 27
- d = 2.444 Å, I = 100
- d = 2.099 Å, I = 53
- d = 1.795 Å, I = 18
- d = 1.668 Å, I = 37
- d = 1.548 Å, I = 11
- d = 1.377 Å, I = 15
- d = 1.348 Å, I = 11
- d = 1.306 Å, I = 11

Structure:
```
Nb4CuC2S4
1.0
3.3353 0.0000 0.0000
-1.6676 2.8884 0.0000
0.0000 0.0000 18.3322
Nb Cu C S
4 1 2 4
Direct
0.0000 0.0000 0.0000
0.0000 0.0000 0.4968
0.3333 0.6667 0.3705
0.3333 0.6667 0.8719
0.0000 0.0000 0.6623
0.6667 0.3333 0.4354
0.6667 0.3333 0.9352
0.0000 0.0000 0.2828
0.0000 0.0000 0.7815
0.3333 0.6667 0.0886
0.3333 0.6667 0.5925
```

Record 5
# Nb2CuCS2
Computed powder diffractogram, Cu Kα, 1.54184 Å. Input: DFT lattice parameters and positions (GGA-PBE).

Largest 10 diffraction maxima, in order of rising 2θ, 2θ from 10° to 90°:
- d = 2.919 Å, I = 68
- d = 2.779 Å, I = 42
- d = 2.455 Å, I = 100
- d = 2.100 Å, I = 85
- d = 1.791 Å, I = 23
- d = 1.685 Å, I = 52
- d = 1.389 Å, I = 16
- d = 1.343 Å, I = 15
- d = 1.315 Å, I = 17
- d = 1.235 Å, I = 15

Structure:
```
Nb2CuCS2
1.0
3.3707 0.0000 0.0000
-1.6853 2.9191 0.0000
0.0000 0.0000 9.0738
Nb Cu C S
2 1 1 2
Direct
0.0000 0.0000 0.0000
0.3333 0.6667 0.7533
0.0000 0.0000 0.3316
0.6667 0.3333 0.8791
0.0000 0.0000 0.5736
0.3333 0.6667 0.1924
```

Record 6
# CuCO3
Computed powder diffractogram, Cu Kα, 1.54184 Å. Input: DFT lattice parameters and positions (GGA-PBE).

Largest 10 diffraction maxima, in order of rising 2θ, 2θ from 10° to 90°:
- d = 4.106 Å, I = 76
- d = 3.918 Å, I = 100
- d = 3.054 Å, I = 13
- d = 2.552 Å, I = 55
- d = 2.359 Å, I = 22
- d = 2.296 Å, I = 29
- d = 1.970 Å, I = 22
- d = 1.959 Å, I = 17
- d = 1.892 Å, I = 31
- d = 1.643 Å, I = 14

Structure:
```
CuCO3
1.0
7.9328 0.0000 0.0000
0.0000 4.8210 0.0000
-0.4831 0.0000 3.0536
Cu C O
2 2 6
Direct
0.0000 0.0000 0.0000
0.5000 0.5000 0.0000
0.0849 0.5000 0.6485
0.5849 0.0000 0.6485
0.0027 0.2676 0.5155
0.0027 0.7324 0.5155
0.2169 0.5000 0.9250
0.5027 0.2324 0.5155
0.5027 0.7676 0.5155
0.7169 0.0000 0.9250
```

Record 7
# CuC2O4
Computed powder diffractogram, Cu Kα, 1.54184 Å. Input: DFT lattice parameters and positions (GGA-PBE).

Largest 10 diffraction maxima, in order of rising 2θ, 2θ from 10° to 90°:
- d = 5.672 Å, I = 100
- d = 3.213 Å, I = 11
- d = 2.946 Å, I = 18
- d = 2.836 Å, I = 19
- d = 2.790 Å, I = 7
- d = 2.703 Å, I = 9
- d = 2.666 Å, I = 13
- d = 2.260 Å, I = 10
- d = 2.220 Å, I = 7
- d = 1.719 Å, I = 14

Structure:
```
CuC2O4
1.0
3.5141 0.0000 0.0000
0.0000 8.6900 0.0000
-2.1602 0.0000 7.4863
Cu C O
2 4 8
Direct
0.0000 0.0000 0.0000
0.0000 0.5000 0.5000
0.3796 0.2078 0.7209
0.3796 0.2922 0.2209
0.6204 0.7078 0.7791
0.6204 0.7922 0.2791
0.1097 0.2058 0.1501
0.1097 0.2942 0.6501
0.4759 0.1018 0.8272
0.4759 0.3982 0.3272
0.5241 0.6018 0.6728
0.5241 0.8982 0.1728
0.8903 0.7058 0.3499
0.8903 0.7942 0.8499
```

Record 8
# CuCO3
Computed powder diffractogram, Cu Kα, 1.54184 Å. Input: DFT lattice parameters and positions (GGA-PBE).

Largest 10 diffraction maxima, in order of rising 2θ, 2θ from 10° to 90°:
- d = 4.594 Å, I = 69
- d = 3.062 Å, I = 100
- d = 2.830 Å, I = 49
- d = 2.693 Å, I = 21
- d = 2.584 Å, I = 14
- d = 2.269 Å, I = 19
- d = 2.022 Å, I = 18
- d = 1.951 Å, I = 52
- d = 1.735 Å, I = 19
- d = 1.727 Å, I = 15

Structure:
```
CuCO3
1.0
2.8655 0.0000 0.0000
0.0000 5.3862 0.0000
-1.3531 0.0000 9.1874
Cu C O
2 2 6
Direct
0.0002 0.0000 0.0006
0.9998 0.5000 0.9994
0.2323 0.2563 0.3403
0.7677 0.7563 0.6597
0.1687 0.0408 0.3389
0.2943 0.4722 0.3413
0.4914 0.7503 0.9820
0.5086 0.2503 0.0180
0.7057 0.9722 0.6587
0.8313 0.5408 0.6611
```

Record 9
# Cu2CO5
Computed powder diffractogram, Cu Kα, 1.54184 Å. Input: DFT lattice parameters and positions (GGA-PBE).

Largest 10 diffraction maxima, in order of rising 2θ, 2θ from 10° to 90°:
- d = 6.321 Å, I = 100
- d = 5.161 Å, I = 73
- d = 3.650 Å, I = 60
- d = 2.798 Å, I = 23
- d = 2.581 Å, I = 78
- d = 2.460 Å, I = 85
- d = 2.413 Å, I = 36
- d = 2.051 Å, I = 28
- d = 1.669 Å, I = 21
- d = 1.626 Å, I = 21

Structure:
```
Cu2CO5
1.0
2.9905 0.0000 0.0000
0.0000 8.9409 0.0000
-2.2165 0.0000 12.6424
Cu C O
8 4 20
Direct
0.0185 0.0097 0.2795
0.0185 0.4903 0.7795
0.4054 0.2415 0.1205
0.4054 0.2585 0.6205
0.5946 0.7415 0.3795
0.5946 0.7585 0.8795
0.9815 0.5097 0.2205
0.9815 0.9903 0.7205
0.3678 0.2171 0.8711
0.3678 0.2829 0.3711
0.6322 0.7171 0.6289
0.6322 0.7829 0.1289
0.0685 0.6163 0.3471
0.0685 0.8837 0.8471
0.1103 0.6256 0.8970
0.1103 0.8744 0.3970
0.2880 0.1547 0.9523
0.2880 0.3453 0.4523
0.3953 0.1427 0.7828
0.3953 0.3573 0.2828
0.4440 0.1381 0.3655
0.4440 0.3619 0.8655
0.5560 0.6381 0.1345
0.5560 0.8619 0.6345
0.6047 0.6427 0.7172
0.6047 0.8573 0.2172
0.7120 0.6547 0.5477
0.7120 0.8453 0.0477
0.8897 0.1256 0.6030
0.8897 0.3744 0.1030
0.9315 0.1163 0.1529
0.9315 0.3837 0.6529
```

Record 10
# Cu3C2O8
Computed powder diffractogram, Cu Kα, 1.54184 Å. Input: DFT lattice parameters and positions (GGA-PBE).

Largest 10 diffraction maxima, in order of rising 2θ, 2θ from 10° to 90°:
- d = 5.284 Å, I = 78
- d = 4.966 Å, I = 26
- d = 3.822 Å, I = 81
- d = 3.478 Å, I = 100
- d = 2.495 Å, I = 42
- d = 2.483 Å, I = 27
- d = 2.293 Å, I = 31
- d = 2.265 Å, I = 35
- d = 2.221 Å, I = 40
- d = 1.979 Å, I = 33

Structure:
```
Cu3C2O8
1.0
5.0839 0.0000 0.0000
0.0000 5.6258 0.0000
-0.8960 0.0000 10.5677
Cu C O
6 4 16
Direct
0.0000 0.0000 0.0000
0.0000 0.5000 0.5000
0.2401 0.0044 0.5831
0.2401 0.4956 0.0831
0.7599 0.5044 0.9169
0.7599 0.9956 0.4169
0.3245 0.6917 0.3206
0.3245 0.8083 0.8206
0.6755 0.1917 0.1794
0.6755 0.3083 0.6794
0.0599 0.1841 0.4535
0.0599 0.3159 0.9535
0.0987 0.5925 0.3359
0.0987 0.9075 0.8359
0.4065 0.7010 0.2091
0.4065 0.7990 0.7091
0.4650 0.7204 0.9174
0.4650 0.7796 0.4174
0.5350 0.2204 0.5826
0.5350 0.2796 0.0826
0.5935 0.2010 0.2909
0.5935 0.2990 0.7909
0.9013 0.0925 0.1641
0.9013 0.4075 0.6641
0.9401 0.6841 0.0465
0.9401 0.8159 0.5465
```